Record 1
Diffraction record for Ba3Ga2Sn3. The powder X-ray diffraction pattern is theoretical, not measured: it uses a structure optimized by DFT (GGA-PBE) and Cu Kα.
Kinematic intensities with the Lorentz-polarization factor, no thermal factor.

Crystal structure
abc: 4.917 12.951 16.578
angles: 90.00 90.00 90.00
Space group Cmcm (No. 63)
Symmetry-distinct sites (fractional):
1 Ba 0.000 0.068 0.105
2 Ba 0.000 0.347 0.250
3 Ga 0.000 0.236 0.602
4 Sn 0.000 0.355 0.044
5 Sn 0.000 0.360 0.750

Principal peaks in the range 2θ from 10° to 80°, low angle first:
| d_spacing | I_rel | index |
| --- | --- | --- |
| 3.243 | 82.4 | 1 3 0 |
| 3.182 | 49.6 | 0 4 1 |
| 3.078 | 95.0 | 1 1 4 |
| 2.797 | 100.0 | 1 3 3 |
| 2.763 | 28.7 | 0 0 6 |
| 2.553 | 49.4 | 0 4 4 |
| 2.459 | 54.2 | 2 0 0 |
| 1.914 | 32.1 | 0 6 4 |
| 1.732 | 31.2 | 1 7 0 |
| 1.476 | 27.7 | 0 4 10 |



Record 2
Diffraction record for BaGa2Sn4. The powder X-ray diffraction pattern is theoretical, not measured: it uses a structure optimized by DFT (GGA-PBE) and Cu Kα.
Kinematic intensities with the Lorentz-polarization factor, no thermal factor.

Crystal structure
abc: 5.010 15.214 5.251
angles: 90.00 90.00 90.00
Space group Cmmm (No. 65)
Symmetry-distinct sites (fractional):
1 Ba 0.000 0.000 0.000
2 Ga 0.000 0.415 0.500
3 Sn 0.000 0.180 0.500
4 Sn 0.000 0.310 0.000

Principal peaks in the range 2θ from 10° to 80°, low angle first:
| d_spacing | I_rel | index |
| --- | --- | --- |
| 7.607 | 10.6 | 0 2 0 |
| 3.080 | 11.6 | 0 4 1 |
| 2.949 | 100.0 | 1 3 1 |
| 2.625 | 31.5 | 0 0 2 |
| 2.505 | 27.6 | 2 0 0 |
| 2.330 | 28.4 | 1 5 1 |
| 1.812 | 21.2 | 2 0 2 |
| 1.571 | 15.8 | 1 3 3 |
| 1.518 | 14.2 | 3 3 1 |
| 1.312 | 8.1 | 0 0 4 |



Record 3
Diffraction record for BaGa4Sn12. The powder X-ray diffraction pattern is theoretical, not measured: it uses a structure optimized by DFT (GGA-PBE) and Cu Kα.
Kinematic intensities with the Lorentz-polarization factor, no thermal factor.

Crystal structure
abc: 9.886 9.886 9.886
angles: 90.00 90.00 90.00
Space group Im-3 (No. 204)
Symmetry-distinct sites (fractional):
1 Ba 0.000 0.000 0.000
2 Ga 0.250 0.250 0.250
3 Sn 0.000 0.352 0.155

Principal peaks in the range 2θ from 10° to 80°, low angle first:
| d_spacing | I_rel | index |
| --- | --- | --- |
| 3.126 | 100.0 | 3 0 1 |
| 2.642 | 37.8 | 3 1 2 |
| 2.211 | 18.1 | 4 0 2 |
| 2.018 | 21.4 | 4 2 2 |
| 1.939 | 39.8 | 4 3 1 |
| 1.648 | 10.6 | 6 0 0 |
| 1.458 | 16.8 | 6 1 3 |
| 1.427 | 7.8 | 4 4 4 |
| 1.298 | 12.1 | 7 3 0 |
| 1.256 | 8.3 | 7 2 3 |



Record 4
Diffraction record for Ba2GaSn2. The powder X-ray diffraction pattern is theoretical, not measured: it uses a structure optimized by DFT (GGA-PBE) and Cu Kα.
Kinematic intensities with the Lorentz-polarization factor, no thermal factor.

Crystal structure
abc: 5.086 4.413 15.616
angles: 90.00 90.00 90.00
Space group Amm2 (No. 38)
Symmetry-distinct sites (fractional):
1 Ba 0.000 0.000 0.000
2 Ba 0.000 0.000 0.241
3 Ga 0.500 0.000 0.814
4 Sn 0.500 0.000 0.414
5 Sn 0.500 0.000 0.629

Principal peaks in the range 2θ from 10° to 80°, low angle first:
| d_spacing | I_rel | index |
| --- | --- | --- |
| 3.260 | 100.0 | 1 1 1 |
| 3.097 | 64.0 | 1 0 4 |
| 2.807 | 22.1 | 1 1 3 |
| 2.547 | 81.1 | 2 0 0 |
| 2.207 | 20.6 | 0 2 0 |
| 1.801 | 35.5 | 2 1 5 |
| 1.797 | 26.7 | 1 2 4 |
| 1.667 | 17.3 | 2 2 0 |
| 1.539 | 13.8 | 1 1 9 |
| 1.271 | 12.4 | 4 0 0 |